Computed powder diffractogram of Cs2SrScCl6 for a wavelength of 1.5418 Å, from a crystal structure in Alexandria, relaxed with GGA-PBE.
Lines closer than 0.1° are merged.

Atomic structure:
a b c (Å): 7.731 10.933 7.731
angles (deg): 90.00 90.00 90.00
Space group Pmmn (No. 59, origin choice 2)
One atom of each set of equivalent atoms:
Cs 0.250 0.000 0.250 (multiplicity 4)
Sr 0.250 0.250 0.749 (multiplicity 2)
Sc 0.250 0.750 0.751 (multiplicity 2)
Cl 0.012 0.750 0.513 (multiplicity 4)
Cl 0.012 0.750 0.989 (multiplicity 4)
Cl 0.250 0.512 0.750 (multiplicity 4)

Most intense lines, 2θ from 5° to 70°, sorted by position:
Position (°2θ), I/Imax
23.0, 100
28.3, 46
32.8, 72
40.4, 45
47.0, 49
53.0, 22
55.8, 17
58.5, 16
63.7, 25
68.7, 7